The following is a computed powder diffraction line list of FeRe2P. It was derived from DFT lattice parameters and positions (GGA-PBE), using Cu Kα X-rays.
No peak broadening, texture or thermal motion is included.

Peak list (12 most intense, 10° ≤ 2θ ≤ 90°, by intensity)
2θ 43.9, intensity 100; 2θ 38.4, intensity 36; 2θ 23.5, intensity 32; 2θ 33.2, intensity 31; 2θ 42.6, intensity 29; 2θ 42.9, intensity 22; 2θ 78.8, intensity 18; 2θ 55.0, intensity 15; 2θ 62.0, intensity 14; 2θ 80.0, intensity 12; 2θ 64.1, intensity 11; 2θ 79.2, intensity 10

Structure:
a b c (Å): 4.9349 4.9349 4.9349
angles (deg): 146.42 129.05 62.42
Fractional coordinates of all 4 atoms:
Fe 0.0000 0.0000 0.0000
Re 0.4380 0.4380 0.0000
Re 0.7200 0.2200 0.5000
P 0.2031 0.7031 0.5000